1.
This entry pairs a crystal structure of SrTl12Cd6 with its theoretical powder X-ray diffraction pattern. Radiation: λ = 1.5418 Å (Cu Kα). Structure: DFT lattice parameters and positions (GGA-PBE).

The 6 most intense peaks (2θ = 10–90°), low angle first:
d [Å]  2θ (°)  I/Imax  index
3.230  27.61  100  1 3 1
3.041  29.37  47  1 1 3
2.716  32.97  76  3 2 1
2.601  34.48  68  0 3 3
2.462  36.49  43  2 3 2
2.211  40.82  51  5 0 2

Crystal structure
Lattice parameters (Å, degrees): 14.1957 14.1957 10.0973 90.00 90.00 120.00
Space group R-3m (No. 166, hexagonal axes)
Inequivalent atoms, fractional coordinates:
Sr: 0.0000 0.0000 0.0000 (multiplicity 3)
Tl: 0.0000 0.3847 0.5000 (multiplicity 18)
Tl: 0.0823 0.1646 0.2832 (multiplicity 18)
Cd: 0.0690 0.5345 0.2267 (multiplicity 18)

2.
This entry pairs a crystal structure of Sr2Tl3Cd6 with its theoretical powder X-ray diffraction pattern. Radiation: λ = 1.5418 Å (Cu Kα). Structure: DFT lattice parameters and positions (GGA-PBE).

The 6 most intense peaks (2θ = 10–90°), low angle first:
d [Å]  2θ (°)  I/Imax  index
6.325  14.00  38  0 2 0
3.141  28.42  100  2 2 1
2.445  36.75  48  3 3 1
2.381  37.78  31  2 4 1
2.362  38.09  25  5 1 0
2.265  39.79  28  0 0 2

Crystal structure
Lattice parameters (Å, degrees): 12.023 12.651 4.530 90.00 90.00 90.00
Space group Cmmm (No. 65)
Inequivalent atoms, fractional coordinates:
Sr: 0.000 0.204 0.000 (multiplicity 4)
Tl: 0.000 0.500 0.500 (multiplicity 2)
Tl: 0.217 0.500 0.000 (multiplicity 4)
Cd: 0.115 0.000 0.500 (multiplicity 4)
Cd: 0.186 0.339 0.500 (multiplicity 8)